Record 1
Structure and theoretical XRD peak list of K3Pm3ErSe8 (DFT lattice parameters and positions (GGA-PBE); Cu Kα X-rays).

Peak list (10 most intense, 10 to 90 degrees two-theta, in order of rising 2θ)
index	2θ (°)	I (rel.)
0 0 1	11.28	70
4 0 -1	24.50	15
4 0 0	28.62	100
4 0 1	36.19	23
2 2 2	39.21	34
0 4 0	42.57	36
0 4 1	44.19	10
2 2 3	49.27	14
4 4 0	52.12	12
10 2 -2	69.46	10

```
data_K3Pm3ErSe8
_cell_length_a 14.7194
_cell_length_b 8.4902
_cell_length_c 9.2560
_cell_angle_alpha 90.00
_cell_angle_beta 122.04
_cell_angle_gamma 90.00
_space_group_name_H-M_alt 'C 1 2/m 1'
_space_group_IT_number 12
_space_group_name_Hall '-C 2y'
loop_
_atom_site_label
_atom_site_type_symbol
_atom_site_fract_x
_atom_site_fract_y
_atom_site_fract_z
K1 K 0.0000 0.0000 0.0000
K2 K 0.2500 0.2500 0.0000
Pm1 Pm 0.0000 0.5000 0.5000
Pm2 Pm 0.2500 0.2500 0.5000
Er1 Er 0.0000 0.0000 0.5000
Se1 Se 0.0135 0.2436 0.2971
Se2 Se 0.2300 0.0000 0.7028
Se3 Se 0.2369 0.5000 0.7106
```

Record 2
Structure and theoretical XRD peak list of KPmEr4Se8 (DFT lattice parameters and positions (GGA-PBE); Cu Kα X-rays).

Peak list (10 most intense, 10 to 90 degrees two-theta, in order of rising 2θ)
index	2θ (°)	I (rel.)
1 0 1	12.71	35
0 1 5	24.14	28
1 1 3	24.39	59
0 2 1	24.52	31
0 2 4	29.48	100
0 2 7	38.37	24
1 2 5	38.63	31
2 0 8	41.87	70
2 2 0	42.50	70
0 4 8	61.19	21

```
data_KPmEr4Se8
_cell_length_a 8.5085
_cell_length_b 8.5085
_cell_length_c 21.2951
_cell_angle_alpha 90.00
_cell_angle_beta 90.00
_cell_angle_gamma 120.00
_space_group_name_H-M_alt 'R 3 m'
_space_group_IT_number 160
_space_group_name_Hall 'R 3 -2"'
loop_
_atom_site_label
_atom_site_type_symbol
_atom_site_fract_x
_atom_site_fract_y
_atom_site_fract_z
K1 K 0.0000 0.0000 0.0000
Pm1 Pm 0.0000 0.0000 0.6343
Er1 Er 0.0000 0.0000 0.2550
Er2 Er 0.1728 0.3457 0.4609
Se1 Se 0.0000 0.0000 0.3867
Se2 Se 0.0000 0.0000 0.8622
Se3 Se 0.0356 0.5178 0.3876
Se4 Se 0.1744 0.3487 0.2082
```

Record 3
Structure and theoretical XRD peak list of K4PmEr3Se8 (DFT lattice parameters and positions (GGA-PBE); Cu Kα X-rays).

Peak list (10 most intense, 10 to 90 degrees two-theta, in order of rising 2θ)
index	2θ (°)	I (rel.)
0 0 3	11.52	60
0 2 1	24.68	13
0 2 4	28.95	100
0 2 7	36.75	20
2 0 8	39.86	34
2 2 0	42.90	36
2 2 3	44.57	14
2 0 11	50.19	14
4 0 4	52.58	18
2 4 4	70.11	15

```
data_K4PmEr3Se8
_cell_length_a 8.4330
_cell_length_b 8.4330
_cell_length_c 23.0491
_cell_angle_alpha 90.00
_cell_angle_beta 90.00
_cell_angle_gamma 120.00
_space_group_name_H-M_alt 'R -3 m'
_space_group_IT_number 166
_space_group_name_Hall '-R 3 2"'
loop_
_atom_site_label
_atom_site_type_symbol
_atom_site_fract_x
_atom_site_fract_y
_atom_site_fract_z
K1 K 0.0000 0.0000 0.0000
K2 K 0.0000 0.5000 0.0000
Pm1 Pm 0.0000 0.0000 0.5000
Er1 Er 0.0000 0.5000 0.5000
Se1 Se 0.0000 0.0000 0.2342
Se2 Se 0.0073 0.5037 0.7647
```

Record 4
Structure and theoretical XRD peak list of KPrEr4S8 (DFT lattice parameters and positions (GGA-PBE); Cu Kα X-rays).

Peak list (10 most intense, 10 to 90 degrees two-theta, in order of rising 2θ)
index	2θ (°)	I (rel.)
1 0 1	13.27	42
0 1 5	25.08	48
1 1 3	25.44	100
0 2 1	25.62	56
2 0 2	26.72	31
0 2 4	30.74	70
1 2 5	40.32	38
0 3 3	40.55	31
2 0 8	43.59	64
2 2 0	44.48	62

```
data_KPrEr4S8
_cell_length_a 8.1475
_cell_length_b 8.1475
_cell_length_c 20.5476
_cell_angle_alpha 90.00
_cell_angle_beta 90.00
_cell_angle_gamma 120.00
_space_group_name_H-M_alt 'R 3 m'
_space_group_IT_number 160
_space_group_name_Hall 'R 3 -2"'
loop_
_atom_site_label
_atom_site_type_symbol
_atom_site_fract_x
_atom_site_fract_y
_atom_site_fract_z
K1 K 0.0000 0.0000 0.0000
Pr1 Pr 0.0000 0.0000 0.6343
Er1 Er 0.0000 0.0000 0.2555
Er2 Er 0.1725 0.3451 0.4617
S1 S 0.0000 0.0000 0.3869
S2 S 0.0000 0.0000 0.8615
S3 S 0.0368 0.5184 0.3899
S4 S 0.1731 0.3462 0.2080
```

Record 5
Structure and theoretical XRD peak list of K3Er7S12 (DFT lattice parameters and positions (GGA-PBE); Cu Kα X-rays).

Peak list (10 most intense, 10 to 90 degrees two-theta, in order of rising 2θ)
index	2θ (°)	I (rel.)
0 1 2	10.31	100
1 1 3	26.08	23
0 2 6	26.26	22
0 3 4	26.69	21
1 2 1	27.32	32
1 0 5	28.86	24
1 3 1	32.17	72
1 3 2	32.79	24
0 1 9	33.39	20
2 0 0	45.94	42

```
data_K3Er7S12
_cell_length_a 3.9549
_cell_length_b 11.8949
_cell_length_c 24.7941
_cell_angle_alpha 90.00
_cell_angle_beta 90.00
_cell_angle_gamma 90.00
_space_group_name_H-M_alt 'P m n 21'
_space_group_IT_number 31
_space_group_name_Hall 'P 2ac -2'
loop_
_atom_site_label
_atom_site_type_symbol
_atom_site_fract_x
_atom_site_fract_y
_atom_site_fract_z
K1 K 0.0000 0.0467 0.0000
K2 K 0.0000 0.3035 0.3456
K3 K 0.0000 0.4475 0.7311
Er1 Er 0.0000 0.1477 0.6591
Er2 Er 0.0000 0.2566 0.8689
Er3 Er 0.0000 0.3511 0.0807
Er4 Er 0.0000 0.5212 0.4521
Er5 Er 0.0000 0.6893 0.0496
Er6 Er 0.0000 0.8153 0.6894
Er7 Er 0.0000 0.9754 0.2912
S1 S 0.0000 0.0158 0.1781
S2 S 0.0000 0.1594 0.5497
S3 S 0.0000 0.1746 0.7678
S4 S 0.0000 0.3276 0.9723
S5 S 0.0000 0.3382 0.1920
S6 S 0.0000 0.4831 0.5635
S7 S 0.0000 0.5870 0.3483
S8 S 0.0000 0.6336 0.9445
S9 S 0.0000 0.7032 0.1574
S10 S 0.0000 0.7978 0.5821
S11 S 0.0000 0.8691 0.7951
S12 S 0.0000 0.8942 0.3909
```

Record 6
Structure and theoretical XRD peak list of KEr6S8 (DFT lattice parameters and positions (GGA-PBE); Cu Kα X-rays).

Peak list (10 most intense, 10 to 90 degrees two-theta, in order of rising 2θ)
index	2θ (°)	I (rel.)
1 0 1	11.57	100
0 0 3	21.54	21
3 -1 1	25.28	52
3 -2 2	28.24	44
1 0 4	30.31	15
4 -3 1	34.02	14
3 1 2	36.34	20
2 1 4	38.01	17
2 2 3	38.80	33
4 -2 6	55.26	14

```
data_KEr6S8
_cell_length_a 11.2286
_cell_length_b 11.2286
_cell_length_c 12.3791
_cell_angle_alpha 90.00
_cell_angle_beta 90.00
_cell_angle_gamma 120.00
_space_group_name_H-M_alt 'R -3'
_space_group_IT_number 148
_space_group_name_Hall '-R 3'
loop_
_atom_site_label
_atom_site_type_symbol
_atom_site_fract_x
_atom_site_fract_y
_atom_site_fract_z
K1 K 0.0000 0.0000 0.0000
Er1 Er 0.0008 0.1854 0.3800
S1 S 0.0000 0.0000 0.2481
S2 S 0.0068 0.2762 0.5861
```